(1)
Calculated powder diffractogram of Ni2GeP for Cu Kα (weighted mean of Kα1 and Kα2), from a structure optimized by DFT (GGA-PBE).
No peak broadening, texture or thermal motion is included.

Cell and atoms:
Unit cell a=4.983 b=14.077 c=6.066 alpha=90.00 beta=90.00 gamma=90.00
Positions (direct):
Ni 0.002 0.076 0.232
Ni 0.002 0.424 0.732
Ni 0.003 0.198 0.761
Ni 0.003 0.302 0.261
Ni 0.497 0.698 0.761
Ni 0.497 0.802 0.261
Ni 0.498 0.576 0.232
Ni 0.498 0.924 0.732
Ni 0.502 0.076 0.268
Ni 0.502 0.424 0.768
Ni 0.503 0.198 0.739
Ni 0.503 0.302 0.239
Ni 0.997 0.698 0.739
Ni 0.997 0.802 0.239
Ni 0.998 0.576 0.268
Ni 0.998 0.924 0.768
Ge 0.229 0.059 0.595
Ge 0.229 0.441 0.095
Ge 0.271 0.559 0.595
Ge 0.271 0.941 0.095
Ge 0.729 0.059 0.905
Ge 0.729 0.441 0.405
Ge 0.771 0.559 0.905
Ge 0.771 0.941 0.405
P 0.236 0.687 0.072
P 0.236 0.813 0.572
P 0.264 0.187 0.072
P 0.264 0.313 0.572
P 0.736 0.687 0.428
P 0.736 0.813 0.928
P 0.764 0.187 0.428
P 0.764 0.313 0.928

Peak list (8 most intense, 2θ = 10–90°, by angle)
Position (°2θ)	d [Å]	Rel. int.
29.3	3.044	20
29.4	3.033	14
34.6	2.595	65
41.2	2.189	10
47.2	1.927	100
52.0	1.760	18
52.2	1.753	39
72.8	1.299	12

=====

(2)
Calculated powder diffractogram of MnBeFe14 for Cu Kα (weighted mean of Kα1 and Kα2), from a structure optimized by DFT (GGA-PBE).
No peak broadening, texture or thermal motion is included.

Cell and atoms:
Unit cell a=4.873 b=4.873 c=7.956 alpha=90.00 beta=90.00 gamma=109.31
Positions (direct):
Mn 0.000 0.000 0.000
Be 0.500 0.500 0.000
Fe 0.000 0.000 0.500
Fe 0.000 0.500 0.000
Fe 0.000 0.500 0.500
Fe 0.251 0.749 0.247
Fe 0.251 0.749 0.753
Fe 0.252 0.252 0.246
Fe 0.252 0.252 0.754
Fe 0.500 0.000 0.000
Fe 0.500 0.000 0.500
Fe 0.500 0.500 0.500
Fe 0.748 0.748 0.246
Fe 0.748 0.748 0.754
Fe 0.749 0.251 0.247
Fe 0.749 0.251 0.753

Peak list (8 most intense, 2θ = 10–90°, by angle)
Position (°2θ)	d [Å]	Rel. int.
11.1	7.956	1
22.3	3.980	2
39.2	2.298	1
45.6	1.990	100
66.3	1.409	5
66.5	1.406	10
84.2	1.150	10
84.3	1.148	19

=====

(3)
Calculated powder diffractogram of Yb4Ga21Ni10 for Cu Kα (weighted mean of Kα1 and Kα2), from a structure optimized by DFT (GGA-PBE).
No peak broadening, texture or thermal motion is included.

Cell and atoms:
Unit cell a=10.716 b=10.716 c=15.288 alpha=123.81 beta=123.81 gamma=22.20
Positions (direct):
Yb 0.120 0.120 0.334
Yb 0.229 0.229 0.824
Yb 0.771 0.771 0.176
Yb 0.880 0.880 0.666
Ga 0.005 0.005 0.091
Ga 0.065 0.065 0.796
Ga 0.117 0.117 0.553
Ga 0.200 0.200 0.003
Ga 0.247 0.247 0.293
Ga 0.296 0.296 0.497
Ga 0.374 0.374 0.804
Ga 0.385 0.385 0.296
Ga 0.398 0.398 0.000
Ga 0.459 0.459 0.631
Ga 0.500 0.500 0.500
Ga 0.541 0.541 0.369
Ga 0.602 0.602 0.000
Ga 0.615 0.615 0.704
Ga 0.626 0.626 0.196
Ga 0.704 0.704 0.503
Ga 0.753 0.753 0.707
Ga 0.800 0.800 0.997
Ga 0.883 0.883 0.447
Ga 0.935 0.935 0.204
Ga 0.995 0.995 0.909
Ni 0.024 0.024 0.606
Ni 0.131 0.131 0.104
Ni 0.249 0.249 0.616
Ni 0.347 0.347 0.110
Ni 0.499 0.499 0.816
Ni 0.501 0.501 0.184
Ni 0.653 0.653 0.890
Ni 0.751 0.751 0.384
Ni 0.869 0.869 0.896
Ni 0.976 0.976 0.394

Peak list (8 most intense, 2θ = 10–90°, by angle)
Position (°2θ)	d [Å]	Rel. int.
37.0	2.428	62
37.6	2.395	100
37.9	2.375	36
38.6	2.333	56
41.7	2.166	25
43.0	2.101	23
43.9	2.063	72
74.5	1.273	21

=====

(4)
Calculated powder diffractogram of Rb2TbDyS4 for Cu Kα (weighted mean of Kα1 and Kα2), from a structure optimized by DFT (GGA-PBE).
No peak broadening, texture or thermal motion is included.

Cell and atoms:
Unit cell a=7.084 b=4.089 c=8.044 alpha=90.00 beta=107.05 gamma=90.00
Positions (direct):
Rb 0.000 0.000 0.000
Rb 0.500 0.500 0.000
Tb 0.000 0.500 0.500
Dy 0.500 0.000 0.500
S 0.232 0.000 0.692
S 0.270 0.500 0.308
S 0.730 0.500 0.692
S 0.768 0.000 0.308

Peak list (8 most intense, 2θ = 10–90°, by angle)
Position (°2θ)	d [Å]	Rel. int.
11.5	7.690	30
23.1	3.845	25
26.3	3.386	46
29.6	3.018	100
40.3	2.236	37
44.3	2.045	34
50.6	1.805	23
54.2	1.693	17

=====

(5)
Calculated powder diffractogram of SmHo3Ga4 for Cu Kα (weighted mean of Kα1 and Kα2), from a structure optimized by DFT (GGA-PBE).
No peak broadening, texture or thermal motion is included.

Cell and atoms:
Unit cell a=9.160 b=9.160 c=9.160 alpha=157.68 beta=136.49 gamma=49.43
Positions (direct):
Sm 0.000 0.000 0.000
Ho 0.202 0.702 0.500
Ho 0.500 0.500 0.000
Ho 0.798 0.298 0.500
Ga 0.178 0.869 0.309
Ga 0.441 0.131 0.309
Ga 0.559 0.869 0.691
Ga 0.822 0.131 0.691

Peak list (8 most intense, 2θ = 10–90°, by angle)
Position (°2θ)	d [Å]	Rel. int.
26.3	3.395	18
29.9	2.989	21
30.4	2.940	100
34.1	2.630	44
37.1	2.426	32
40.2	2.243	38
49.0	1.859	24
66.5	1.406	19

=====

Question: Which formula does entry 1 have?
Answer: Ni2GeP